Record 1
Structure and simulated PXRD pattern of LaPr3O4 (a DFT-relaxed cell (GGA-PBE, Alexandria); copper Kα).
Kinematic intensities with the Lorentz-polarization factor, no thermal factor.

Largest 8 diffraction maxima, most intense first, 2θ from 5° to 70°:
Position (°2θ)	d (Å)	intensity	hkl
35.1	2.556	100	1 2 1
30.1	2.965	61	2 0 0
30.4	2.939	60	1 2 -1
50.5	1.808	46	3 2 -1
59.8	1.546	28	3 2 1
60.3	1.535	18	2 4 0
62.7	1.482	12	4 0 0
50.2	1.818	12	2 0 2

Structural model:
Unit cell a=6.280 b=7.178 c=6.282 alpha=90.00 beta=109.26 gamma=90.00
Fractional positions:
La 0.000 0.126 0.250
La 0.000 0.874 0.750
Pr 0.000 0.376 0.750
Pr 0.000 0.624 0.250
Pr 0.500 0.126 0.750
Pr 0.500 0.376 0.250
Pr 0.500 0.624 0.750
Pr 0.500 0.874 0.250
O 0.249 0.375 0.500
O 0.249 0.625 0.000
O 0.250 0.126 0.000
O 0.250 0.874 0.500
O 0.750 0.126 0.500
O 0.750 0.874 0.000
O 0.751 0.375 0.000
O 0.751 0.625 0.500

Record 2
Structure and simulated PXRD pattern of AcHg6Pb6 (a DFT-relaxed cell (GGA-PBE, Alexandria); copper Kα).
Kinematic intensities with the Lorentz-polarization factor, no thermal factor.

Largest 8 diffraction maxima, most intense first, 2θ from 5° to 70°:
Position (°2θ)	d (Å)	intensity	hkl
31.8	2.812	100	1 1 2
35.5	2.529	96	2 0 2
31.0	2.889	64	2 0 0
55.1	1.668	46	2 2 0
26.7	3.335	45	1 1 0
29.9	2.986	31	1 0 3
37.7	2.383	31	1 0 4
50.5	1.807	28	3 0 2

Structural model:
Unit cell a=6.671 b=6.671 c=10.464 alpha=90.00 beta=90.00 gamma=120.00
Fractional positions:
Ac 0.000 0.000 0.000
Hg 0.000 0.000 0.355
Hg 0.000 0.000 0.645
Hg 0.333 0.667 0.000
Hg 0.333 0.667 0.500
Hg 0.667 0.333 0.000
Hg 0.667 0.333 0.500
Pb 0.000 0.500 0.238
Pb 0.000 0.500 0.762
Pb 0.500 0.000 0.238
Pb 0.500 0.000 0.762
Pb 0.500 0.500 0.238
Pb 0.500 0.500 0.762

Q: What is the formula in the second record?
A: AcHg6Pb6